Fe4Te3S: computed powder diffraction line list (Cu Kα (λ = 1.5418 Å)), based on a structure optimized by DFT (GGA-PBE).

Most intense lines, 2θ = 10–80°, in order of rising 2θ:
hkl 0 0 2, 13.81°, 6.414 Å, I 44
hkl 1 0 1, 25.17°, 3.539 Å, I 10
hkl 1 0 2, 27.94°, 3.193 Å, I 100
hkl 1 1 2, 37.27°, 2.413 Å, I 26
hkl 1 0 5, 42.97°, 2.105 Å, I 8
hkl 1 1 4, 44.84°, 2.021 Å, I 62
hkl 1 0 6, 49.29°, 1.849 Å, I 15
hkl 2 0 0, 49.52°, 1.841 Å, I 26
hkl 2 1 2, 57.81°, 1.595 Å, I 27
hkl 2 1 6, 72.45°, 1.304 Å, I 9

Structural model:
abc: 3.6816 3.6816 12.8281
angles: 90.00 90.00 90.00
Space group P4mm (No. 99)
One atom of each set of equivalent atoms:
1 Fe 0.0000 0.5000 0.0000
2 Fe 0.0000 0.5000 0.4834
3 Te 0.0000 0.0000 0.1411
4 Te 0.0000 0.0000 0.6124
5 Te 0.5000 0.5000 0.8586
6 S 0.5000 0.5000 0.3971